(1)
The following is a computed XRD peak list of MgCr8P4O20. It was derived from the PBE+U geometry in the Materials Project, using Cu Ka.
Lines closer than 0.1° are merged.

Atomic structure:
Unit cell a=7.593 b=6.623 c=7.939 alpha=90.00 beta=90.65 gamma=90.00
Space group Pm (No. 6)
Asymmetric unit:
Mg: 0.000 0.000 0.000
Cr: 0.124 0.500 0.579
Cr: 0.195 0.500 0.060
Cr: 0.414 0.257 0.719
Cr: 0.629 0.000 0.409
Cr: 0.665 0.000 0.891
Cr: 0.899 0.264 0.259
P: 0.044 0.000 0.605
P: 0.289 0.000 0.148
P: 0.525 0.500 0.346
P: 0.784 0.500 0.847
O: 0.027 0.500 0.350
O: 0.152 0.183 0.139
O: 0.164 0.190 0.592
O: 0.273 0.500 0.800
O: 0.388 0.000 0.982
O: 0.392 0.000 0.312
O: 0.393 0.500 0.494
O: 0.439 0.500 0.173
O: 0.543 0.000 0.646
O: 0.651 0.310 0.369
O: 0.658 0.313 0.855
O: 0.789 0.000 0.139
O: 0.888 0.500 0.682
O: 0.902 0.000 0.463
O: 0.913 0.500 0.002
O: 0.947 0.000 0.773

The 12 most intense peaks (2θ = 10–90°), in order of rising 2θ:
2θ (°)	intensity	(hkl)
17.8	18	1 1 0
25.2	71	1 0 -2
25.4	50	1 0 2
26.9	27	0 2 0
31.5	100	1 2 -1
32.5	18	2 0 -2
35.3	35	0 2 2
36.0	19	1 0 3
42.6	19	1 3 0
47.9	18	4 0 0
55.2	26	3 3 0
55.5	28	0 4 0

(2)
The following is a computed XRD peak list of LiNiBO3. It was derived from the PBE+U geometry in the Materials Project, using Cu Ka.
Lines closer than 0.1° are merged.

Atomic structure:
Unit cell a=8.0760 b=8.0760 c=6.1239 alpha=90.00 beta=90.00 gamma=120.00
Space group P-6 (No. 174)
Asymmetric unit:
Li: 0.0247 0.7255 0.2501
Ni: 0.3806 0.0154 0.0000
Ni: 0.3809 0.0159 0.5000
B: 0.0000 0.0000 0.0000
B: 0.0000 0.0000 0.5000
B: 0.3333 0.6667 0.2505
B: 0.6667 0.3333 0.2499
O: 0.0972 0.8987 0.0000
O: 0.0972 0.8986 0.5000
O: 0.1363 0.5512 0.2501
O: 0.4682 0.2196 0.2499

The 12 most intense peaks (2θ = 10–90°), in order of rising 2θ:
2θ (°)	intensity	(hkl)
22.0	100	1 1 0
33.9	18	1 2 0
36.8	71	1 1 2
38.6	24	3 0 0
39.1	11	2 0 2
44.9	9	2 2 0
45.3	12	1 2 2
46.8	10	3 1 0
49.1	23	3 0 2
54.4	17	2 2 2
56.1	22	3 1 2
65.7	13	2 3 2

(3)
The following is a computed XRD peak list of Li2Ni3O6. It was derived from the PBE+U geometry in the Materials Project, using Cu Ka.
Lines closer than 0.1° are merged.

Atomic structure:
Unit cell a=8.598 b=4.873 c=9.792 alpha=90.00 beta=90.45 gamma=90.00
Space group Cc (No. 9)
Asymmetric unit:
Li: 0.000 0.222 0.000
Li: 0.332 0.224 0.999
Ni: 0.152 0.356 0.251
Ni: 0.321 0.142 0.741
Ni: 0.487 0.358 0.243
O: 0.140 0.046 0.141
O: 0.156 0.305 0.845
O: 0.325 0.484 0.643
O: 0.337 0.181 0.350
O: 0.474 0.030 0.138
O: 0.490 0.333 0.853

The 12 most intense peaks (2θ = 10–90°), in order of rising 2θ:
2θ (°)	intensity	(hkl)
18.1	100	0 0 2
36.4	7	3 1 0
37.5	11	3 1 -1
37.6	11	3 1 1
38.1	14	0 2 1
40.8	9	3 1 -2
41.0	9	3 1 2
45.9	11	3 1 -3
46.2	12	3 1 3
46.5	16	0 2 3
60.7	8	0 2 5
66.1	7	3 3 0